# 1
Computed powder diffraction line list
Compound: K2LiNd4Nb2O12
Radiation: Cu Kα (weighted mean of Kα1 and Kα2)
Structure: a GGA-PBE-relaxed structure

Structure:
```
data_K2LiNd4Nb2O12
_cell_length_a 13.030
_cell_length_b 5.743
_cell_length_c 9.038
_cell_angle_alpha 90.00
_cell_angle_beta 108.94
_cell_angle_gamma 90.00
_symmetry_space_group_name_H-M 'C 1 m 1'
_symmetry_Int_Tables_number 8
loop_
_symmetry_equiv_pos_as_xyz
'x,y,z'
'x,-y,z'
'x+1/2,y+1/2,z'
'x+1/2,-y+1/2,z'
loop_
_atom_site_label
_atom_site_type_symbol
_atom_site_fract_x
_atom_site_fract_y
_atom_site_fract_z
_atom_site_occupancy
K1 K 0.000 0.000 0.000 1
K2 K 0.241 0.000 0.987 1
Li1 Li 0.272 0.500 0.511 1
Nd1 Nd 0.001 0.000 0.545 1
Nd2 Nd 0.035 0.500 0.285 1
Nd3 Nd 0.193 0.500 0.726 1
Nd4 Nd 0.252 0.000 0.411 1
Nb1 Nb 0.279 0.500 0.200 1
Nb2 Nb 0.451 0.000 0.772 1
O1 O 0.067 0.266 0.776 1
O2 O 0.130 0.257 0.495 1
O3 O 0.168 0.265 0.197 1
O4 O 0.296 0.500 0.994 1
O5 O 0.353 0.244 0.644 1
O6 O 0.393 0.257 0.312 1
O7 O 0.440 0.000 0.972 1
```

Top 10 peaks for 5° ≤ 2θ ≤ 70°, sorted by position:
d/Å, intensity, h k l
8.549, 38, 0 0 1
3.435, 64, 3 1 -1
3.102, 100, 1 1 2
3.081, 19, 4 0 0
3.052, 48, 3 1 -2
2.871, 37, 0 2 0
2.102, 34, 4 2 0
2.068, 20, 2 2 -3
1.943, 22, 4 2 1
1.699, 22, 1 3 2

---

# 2
Computed powder diffraction line list
Compound: K2LiNd4Nb2O12
Radiation: Cu Kα (weighted mean of Kα1 and Kα2)
Structure: a GGA-PBE-relaxed structure

Structure:
```
data_K2LiNd4Nb2O12
_cell_length_a 12.746
_cell_length_b 5.777
_cell_length_c 8.865
_cell_angle_alpha 90.00
_cell_angle_beta 104.06
_cell_angle_gamma 90.00
_symmetry_space_group_name_H-M 'C 1 2 1'
_symmetry_Int_Tables_number 5
loop_
_symmetry_equiv_pos_as_xyz
'x,y,z'
'-x,y,-z'
'x+1/2,y+1/2,z'
'-x+1/2,y+1/2,-z'
loop_
_atom_site_label
_atom_site_type_symbol
_atom_site_fract_x
_atom_site_fract_y
_atom_site_fract_z
_atom_site_occupancy
K1 K 0.120 0.000 0.481 1
Li1 Li 0.000 0.494 0.500 1
Nd1 Nd 0.082 0.502 0.196 1
Nd2 Nd 0.128 0.002 0.921 1
Nb1 Nb 0.173 0.502 0.719 1
O1 O 0.000 0.248 0.000 1
O2 O 0.000 0.755 0.000 1
O3 O 0.050 0.270 0.701 1
O4 O 0.050 0.732 0.702 1
O5 O 0.164 0.501 0.499 1
O6 O 0.231 0.240 0.164 1
O7 O 0.231 0.763 0.164 1
```

Top 10 peaks for 5° ≤ 2θ ≤ 70°, sorted by position:
d/Å, intensity, h k l
8.599, 45, 0 0 1
3.359, 64, 3 1 -1
3.166, 100, 1 1 2
3.091, 17, 4 0 0
2.942, 63, 3 1 -2
2.888, 38, 0 2 0
2.111, 25, 4 2 0
2.040, 16, 2 2 -3
1.975, 24, 4 2 1
1.716, 16, 1 3 2

---

# 3
Computed powder diffraction line list
Compound: K3Li2Nb5O15
Radiation: Cu Kα (weighted mean of Kα1 and Kα2)
Structure: a GGA-PBE-relaxed structure

Structure:
```
data_K3Li2Nb5O15
_cell_length_a 12.689
_cell_length_b 12.689
_cell_length_c 4.258
_cell_angle_alpha 90.00
_cell_angle_beta 90.00
_cell_angle_gamma 90.00
_symmetry_space_group_name_H-M 'P 4 b m'
_symmetry_Int_Tables_number 100
loop_
_symmetry_equiv_pos_as_xyz
'x,y,z'
'-y,x,z'
'-x,-y,z'
'y,-x,z'
'-x+1/2,y+1/2,z'
'y+1/2,x+1/2,z'
'x+1/2,-y+1/2,z'
'-y+1/2,-x+1/2,z'
loop_
_atom_site_label
_atom_site_type_symbol
_atom_site_fract_x
_atom_site_fract_y
_atom_site_fract_z
_atom_site_occupancy
K1 K 0.000 0.000 0.000 1
K2 K 0.172 0.328 0.013 1
Li1 Li 0.124 0.624 0.074 1
Nb1 Nb 0.000 0.500 0.511 1
Nb2 Nb 0.076 0.792 0.516 1
O1 O 0.000 0.500 0.947 1
O2 O 0.003 0.654 0.428 1
O3 O 0.069 0.141 0.462 1
O4 O 0.080 0.783 0.949 1
O5 O 0.211 0.711 0.442 1
```

Top 10 peaks for 5° ≤ 2θ ≤ 70°, sorted by position:
d/Å, intensity, h k l
4.258, 85, 0 0 1
4.013, 42, 3 1 0
3.519, 56, 3 2 0
3.406, 48, 2 1 1
3.077, 74, 4 1 0
2.920, 100, 3 1 1
2.713, 36, 3 2 1
2.129, 42, 0 0 2
1.795, 50, 5 5 0
1.654, 39, 5 5 1

---

# 4
Computed powder diffraction line list
Compound: KLiNbO4
Radiation: Cu Kα (weighted mean of Kα1 and Kα2)
Structure: a GGA-PBE-relaxed structure

Structure:
```
data_KLiNbO4
_cell_length_a 5.709
_cell_length_b 5.709
_cell_length_c 8.385
_cell_angle_alpha 90.00
_cell_angle_beta 90.00
_cell_angle_gamma 90.00
_symmetry_space_group_name_H-M 'I -4'
_symmetry_Int_Tables_number 82
loop_
_symmetry_equiv_pos_as_xyz
'x,y,z'
'y,-x,-z'
'-x,-y,z'
'-y,x,-z'
'x+1/2,y+1/2,z+1/2'
'y+1/2,-x+1/2,-z+1/2'
'-x+1/2,-y+1/2,z+1/2'
'-y+1/2,x+1/2,-z+1/2'
loop_
_atom_site_label
_atom_site_type_symbol
_atom_site_fract_x
_atom_site_fract_y
_atom_site_fract_z
_atom_site_occupancy
K1 K 0.000 0.000 0.000 1
Li1 Li 0.000 0.500 0.750 1
Nb1 Nb 0.000 0.000 0.500 1
O1 O 0.123 0.243 0.625 1
```

Top 10 peaks for 5° ≤ 2θ ≤ 70°, sorted by position:
d/Å, intensity, h k l
4.719, 90, 1 0 1
4.193, 51, 0 0 2
4.037, 95, 1 1 0
2.908, 100, 1 1 2
2.855, 25, 2 0 0
2.360, 44, 2 0 2
1.860, 19, 1 1 4
1.805, 19, 1 3 0
1.690, 24, 2 0 4
1.658, 31, 1 3 2

---

# 5
Computed powder diffraction line list
Compound: K3Li2Nb6P3O24
Radiation: Cu Kα (weighted mean of Kα1 and Kα2)
Structure: a GGA-PBE-relaxed structure

Structure:
```
data_K3Li2Nb6P3O24
_cell_length_a 13.4125
_cell_length_b 13.4125
_cell_length_c 10.8982
_cell_angle_alpha 90.00
_cell_angle_beta 90.00
_cell_angle_gamma 120.00
_symmetry_space_group_name_H-M 'R 3'
_symmetry_Int_Tables_number 146
_symmetry_space_group_name_Hall 'R 3'
loop_
_atom_site_label
_atom_site_type_symbol
_atom_site_fract_x
_atom_site_fract_y
_atom_site_fract_z
_atom_site_occupancy
K1 K 0.0048 0.6118 0.0000 1
Li1 Li 0.0000 0.0000 0.3590 1
Li2 Li 0.0000 0.0000 0.6350 1
Nb1 Nb 0.0195 0.1708 0.8230 1
Nb2 Nb 0.1709 0.0196 0.1711 1
P1 P 0.1174 0.4502 0.1641 1
O1 O 0.9999 0.1533 0.9972 1
O2 O 0.0000 0.4697 0.4974 1
O3 O 0.0027 0.4428 0.8528 1
O4 O 0.0091 0.8825 0.1938 1
O5 O 0.0181 0.1577 0.6115 1
O6 O 0.1080 0.3356 0.4752 1
O7 O 0.1268 0.1177 0.8007 1
O8 O 0.1579 0.0188 0.3834 1
```

Top 10 peaks for 5° ≤ 2θ ≤ 70°, sorted by position:
d/Å, intensity, h k l
7.948, 21, 1 0 1
6.706, 47, 1 1 0
4.933, 30, 0 1 2
3.633, 35, 0 0 3
3.353, 100, 2 2 0
3.194, 37, 1 1 3
3.089, 24, 4 -3 1
2.650, 17, 3 0 3
2.464, 21, 2 2 3
1.936, 17, 6 0 0